Record 1
# SrSm2Te3
Simulated powder diffractogram, a wavelength of 1.5418 Å. Input: a PBE-relaxed structure.
Lines closer than 0.1° are merged.

Structural model:
```
data_SrSm2Te3
_chemical_formula_sum 'Sr1 Sm2 Te3'
_cell_length_a 4.5429
_cell_length_b 4.5429
_cell_length_c 11.0991
_cell_angle_alpha 90.00
_cell_angle_beta 90.00
_cell_angle_gamma 120.00
_space_group_name_H-M_alt 'P -3 m 1'
_space_group_IT_number 164
_space_group_name_Hall '-P 3 2"'
loop_
_atom_site_label
_atom_site_type_symbol
_atom_site_fract_x
_atom_site_fract_y
_atom_site_fract_z
Sr1 Sr 0.0000 0.0000 0.0000
Sm1 Sm 0.3333 0.6667 0.6491
Te1 Te 0.0000 0.0000 0.5000
Te2 Te 0.3333 0.6667 0.1811
```

Principal peaks in the range 10° ≤ 2θ ≤ 90°, most intense first:
2theta, d (Å), Rel. int., hkl
27.80, 3.210, 100.0, 0 1 2
39.71, 2.270, 73.8, 1 1 0
49.14, 1.854, 20.7, 2 0 2
72.04, 1.311, 18.5, 3 0 0
64.92, 1.436, 17.9, 1 2 2
65.02, 1.434, 13.7, 1 1 6
57.42, 1.605, 11.7, 0 2 4
49.26, 1.850, 5.3, 0 0 6

Record 2
# SmTe
Simulated powder diffractogram, a wavelength of 1.5418 Å. Input: a PBE-relaxed structure.
Lines closer than 0.1° are merged.

Structural model:
```
data_SmTe
_chemical_formula_sum 'Sm4 Te4'
_cell_length_a 6.2777
_cell_length_b 6.2777
_cell_length_c 6.2777
_cell_angle_alpha 90.00
_cell_angle_beta 90.00
_cell_angle_gamma 90.00
_space_group_name_H-M_alt 'F m -3 m'
_space_group_IT_number 225
_space_group_name_Hall '-F 4 2 3'
loop_
_atom_site_label
_atom_site_type_symbol
_atom_site_fract_x
_atom_site_fract_y
_atom_site_fract_z
Sm1 Sm 0.0000 0.0000 0.0000
Te1 Te 0.0000 0.0000 0.5000
```

Principal peaks in the range 10° ≤ 2θ ≤ 90°, most intense first:
2theta, d (Å), Rel. int., hkl
28.44, 3.139, 100.0, 2 0 0
40.65, 2.219, 76.2, 2 2 0
66.62, 1.404, 35.1, 4 2 0
50.35, 1.812, 27.3, 2 2 2
73.97, 1.281, 25.9, 4 2 2
58.84, 1.569, 12.8, 4 0 0
88.00, 1.110, 8.5, 4 4 0
24.56, 3.624, 1.6, 1 1 1

Record 3
# Sm5Tl4
Simulated powder diffractogram, a wavelength of 1.5418 Å. Input: a PBE-relaxed structure.
Lines closer than 0.1° are merged.

Structural model:
```
data_Sm5Tl4
_chemical_formula_sum 'Sm10 Tl8'
_cell_length_a 9.5254
_cell_length_b 9.5254
_cell_length_c 6.7463
_cell_angle_alpha 90.00
_cell_angle_beta 90.00
_cell_angle_gamma 120.00
_space_group_name_H-M_alt 'P 63/m c m'
_space_group_IT_number 193
_space_group_name_Hall '-P 6c 2'
loop_
_atom_site_label
_atom_site_type_symbol
_atom_site_fract_x
_atom_site_fract_y
_atom_site_fract_z
Sm1 Sm 0.0000 0.2900 0.2500
Sm2 Sm 0.3333 0.6667 0.0000
Tl1 Tl 0.0000 0.0000 0.0000
Tl2 Tl 0.0000 0.3720 0.7500
```

Principal peaks in the range 10° ≤ 2θ ≤ 90°, most intense first:
2theta, d (Å), Rel. int., hkl
32.55, 2.751, 100.0, 3 0 0
58.09, 1.588, 18.7, 3 3 0
31.61, 2.830, 15.7, 2 1 1
46.69, 1.945, 15.7, 2 2 2
64.85, 1.438, 13.5, 3 0 4
50.03, 1.823, 7.6, 2 1 3
41.69, 2.167, 6.7, 3 1 1
61.00, 1.519, 6.1, 4 2 1

Record 4
# SmZn12
Simulated powder diffractogram, a wavelength of 1.5418 Å. Input: a PBE-relaxed structure.
Lines closer than 0.1° are merged.

Structural model:
```
data_SmZn12
_chemical_formula_sum 'Sm2 Zn24'
_cell_length_a 8.8390
_cell_length_b 8.8390
_cell_length_c 5.2494
_cell_angle_alpha 90.00
_cell_angle_beta 90.00
_cell_angle_gamma 90.00
_space_group_name_H-M_alt 'I 4/m m m'
_space_group_IT_number 139
_space_group_name_Hall '-I 4 2'
loop_
_atom_site_label
_atom_site_type_symbol
_atom_site_fract_x
_atom_site_fract_y
_atom_site_fract_z
Sm1 Sm 0.0000 0.0000 0.0000
Zn1 Zn 0.0000 0.2185 0.5000
Zn2 Zn 0.0000 0.3543 0.0000
Zn3 Zn 0.2500 0.2500 0.2500
```

Principal peaks in the range 10° ≤ 2θ ≤ 90°, most intense first:
2theta, d (Å), Rel. int., hkl
40.62, 2.221, 100.0, 3 2 1
39.95, 2.257, 76.8, 2 0 2
40.84, 2.210, 57.4, 4 0 0
34.92, 2.569, 47.8, 3 0 1
45.11, 2.010, 39.2, 2 2 2
65.54, 1.424, 23.0, 3 2 3
73.75, 1.285, 22.5, 6 0 2
28.26, 3.158, 21.2, 2 1 1

Record 5
# SmZn
Simulated powder diffractogram, a wavelength of 1.5418 Å. Input: a PBE-relaxed structure.
Lines closer than 0.1° are merged.

Structural model:
```
data_SmZn
_chemical_formula_sum 'Sm6 Zn6'
_cell_length_a 4.8571
_cell_length_b 9.4850
_cell_length_c 6.2748
_cell_angle_alpha 90.00
_cell_angle_beta 90.00
_cell_angle_gamma 90.00
_space_group_name_H-M_alt 'P m c 21'
_space_group_IT_number 26
loop_
_space_group_symop_operation_xyz
'x,y,z'
'-x,-y,z+1/2'
'-x,y,z'
'x,-y,z+1/2'
loop_
_atom_site_label
_atom_site_type_symbol
_atom_site_fract_x
_atom_site_fract_y
_atom_site_fract_z
Sm1 Sm 0.0000 0.0308 0.0000
Sm2 Sm 0.0000 0.3503 0.6710
Sm3 Sm 0.5000 0.2154 0.2794
Zn1 Zn 0.0000 0.3484 0.1529
Zn2 Zn 0.5000 0.1364 0.7510
Zn3 Zn 0.5000 0.4692 0.9525
```

Principal peaks in the range 10° ≤ 2θ ≤ 90°, most intense first:
2theta, d (Å), Rel. int., hkl
33.83, 2.650, 100.0, 1 3 0
35.35, 2.539, 82.1, 1 1 2
37.02, 2.429, 57.6, 2 0 0
34.27, 2.617, 43.3, 0 2 2
34.02, 2.635, 39.8, 1 0 2
25.01, 3.560, 30.4, 1 1 1
51.33, 1.780, 28.5, 2 2 2
29.95, 2.983, 24.3, 1 2 1

Record 6
# SmZr2
Simulated powder diffractogram, a wavelength of 1.5418 Å. Input: a PBE-relaxed structure.
Lines closer than 0.1° are merged.

Structural model:
```
data_SmZr2
_chemical_formula_sum 'Sm4 Zr8'
_cell_length_a 5.3357
_cell_length_b 10.0419
_cell_length_c 5.8385
_cell_angle_alpha 90.00
_cell_angle_beta 90.00
_cell_angle_gamma 90.00
_space_group_name_H-M_alt 'P m m n'
_space_group_IT_number 59
loop_
_space_group_symop_operation_xyz
'x,y,z'
'-x,-y,-z'
'-x+1/2,-y+1/2,z'
'x+1/2,y+1/2,-z'
'x+1/2,-y,-z'
'-x+1/2,y,z'
'-x,y+1/2,-z'
'x,-y+1/2,z'
loop_
_atom_site_label
_atom_site_type_symbol
_atom_site_fract_x
_atom_site_fract_y
_atom_site_fract_z
Sm1 Sm 0.2500 0.0858 0.0911
Zr1 Zr 0.2500 0.2500 0.5920
Zr2 Zr 0.2500 0.5923 0.5652
Zr3 Zr 0.2500 0.7500 0.1007
```

Principal peaks in the range 10° ≤ 2θ ≤ 90°, most intense first:
2theta, d (Å), Rel. int., hkl
35.19, 2.551, 100.0, 1 3 1
35.04, 2.561, 52.3, 1 0 2
33.59, 2.668, 39.0, 2 0 0
61.07, 1.517, 29.9, 3 0 2
30.79, 2.904, 25.4, 0 3 1
65.60, 1.423, 20.3, 2 3 3
54.54, 1.682, 17.9, 0 3 3
46.21, 1.965, 16.3, 2 3 1

Record 7
# Ta3Sn
Simulated powder diffractogram, a wavelength of 1.5418 Å. Input: a PBE-relaxed structure.
Lines closer than 0.1° are merged.

Structural model:
```
data_Ta3Sn
_chemical_formula_sum 'Ta6 Sn2'
_cell_length_a 5.3103
_cell_length_b 5.3103
_cell_length_c 5.3271
_cell_angle_alpha 90.00
_cell_angle_beta 90.00
_cell_angle_gamma 90.00
_space_group_name_H-M_alt 'P 42/m m c'
_space_group_IT_number 131
_space_group_name_Hall '-P 4c 2'
loop_
_atom_site_label
_atom_site_type_symbol
_atom_site_fract_x
_atom_site_fract_y
_atom_site_fract_z
Ta1 Ta 0.0000 0.0000 0.2500
Ta2 Ta 0.2489 0.5000 0.0000
Sn1 Sn 0.0000 0.5000 0.5000
```

Principal peaks in the range 10° ≤ 2θ ≤ 90°, most intense first:
2theta, d (Å), Rel. int., hkl
37.84, 2.377, 100.0, 2 1 0
41.61, 2.170, 54.6, 1 1 2
65.69, 1.421, 19.1, 2 1 3
33.76, 2.655, 16.0, 2 0 0
63.01, 1.475, 15.4, 3 0 2
83.37, 1.159, 14.1, 4 2 1
60.31, 1.535, 11.6, 2 2 2
65.79, 1.420, 9.9, 3 2 1

Record 8
# TbTmSnTe3
Simulated powder diffractogram, a wavelength of 1.5418 Å. Input: a PBE-relaxed structure.
Lines closer than 0.1° are merged.

Structural model:
```
data_TbTmSnTe3
_chemical_formula_sum 'Tb4 Tm4 Sn4 Te12'
_cell_length_a 4.3975
_cell_length_b 15.2362
_cell_length_c 11.7917
_cell_angle_alpha 90.00
_cell_angle_beta 90.00
_cell_angle_gamma 90.00
_space_group_name_H-M_alt 'C m c m'
_space_group_IT_number 63
_space_group_name_Hall '-C 2c 2'
loop_
_atom_site_label
_atom_site_type_symbol
_atom_site_fract_x
_atom_site_fract_y
_atom_site_fract_z
Tb1 Tb 0.0000 0.0000 0.0000
Tm1 Tm 0.0000 0.4742 0.2500
Sn1 Sn 0.0000 0.1895 0.7500
Te1 Te 0.0000 0.1025 0.2500
Te2 Te 0.0000 0.3586 0.0450
```

Principal peaks in the range 10° ≤ 2θ ≤ 90°, most intense first:
2theta, d (Å), Rel. int., hkl
30.88, 2.896, 100.0, 1 3 2
30.32, 2.948, 28.7, 0 0 4
11.62, 7.618, 26.5, 0 2 0
27.88, 3.200, 24.7, 1 3 1
41.05, 2.199, 18.5, 2 0 0
39.07, 2.305, 14.4, 1 5 2
47.25, 1.924, 13.3, 1 3 5
42.81, 2.112, 12.9, 1 5 3

Record 9
# TbYSn4
Simulated powder diffractogram, a wavelength of 1.5418 Å. Input: a PBE-relaxed structure.
Lines closer than 0.1° are merged.

Structural model:
```
data_TbYSn4
_chemical_formula_sum 'Tb2 Y2 Sn8'
_cell_length_a 4.3472
_cell_length_b 4.4429
_cell_length_c 16.4039
_cell_angle_alpha 90.00
_cell_angle_beta 90.00
_cell_angle_gamma 90.00
_space_group_name_H-M_alt 'A m m 2'
_space_group_IT_number 38
loop_
_space_group_symop_operation_xyz
'x,y,z'
'-x,-y,z'
'-x,y,z'
'x,-y,z'
'x,y+1/2,z+1/2'
'-x,-y+1/2,z+1/2'
'-x,y+1/2,z+1/2'
'x,-y+1/2,z+1/2'
loop_
_atom_site_label
_atom_site_type_symbol
_atom_site_fract_x
_atom_site_fract_y
_atom_site_fract_z
Tb1 Tb 0.0000 0.0000 0.0000
Y1 Y 0.5000 0.0000 0.1975
Sn1 Sn 0.0000 0.0000 0.3516
Sn2 Sn 0.0000 0.0000 0.6621
Sn3 Sn 0.5000 0.0000 0.5353
Sn4 Sn 0.5000 0.0000 0.8459
```

Principal peaks in the range 10° ≤ 2θ ≤ 90°, most intense first:
2theta, d (Å), Rel. int., hkl
33.16, 2.702, 100.0, 1 1 3
32.76, 2.734, 20.4, 0 0 6
40.61, 2.221, 15.6, 0 2 0
41.55, 2.174, 14.6, 2 0 0
69.18, 1.358, 12.4, 1 3 3
70.49, 1.336, 11.7, 3 1 3
53.12, 1.724, 10.6, 0 2 6
59.50, 1.554, 10.3, 2 2 0

Record 10
# ThUSn
Simulated powder diffractogram, a wavelength of 1.5418 Å. Input: a PBE-relaxed structure.
Lines closer than 0.1° are merged.

Structural model:
```
data_ThUSn
_chemical_formula_sum 'Th4 U4 Sn4'
_cell_length_a 7.2564
_cell_length_b 7.2564
_cell_length_c 7.2564
_cell_angle_alpha 90.00
_cell_angle_beta 90.00
_cell_angle_gamma 90.00
_space_group_name_H-M_alt 'F -4 3 m'
_space_group_IT_number 216
_space_group_name_Hall 'F -4 2 3'
loop_
_atom_site_label
_atom_site_type_symbol
_atom_site_fract_x
_atom_site_fract_y
_atom_site_fract_z
Th1 Th 0.0000 0.0000 0.0000
U1 U 0.2500 0.2500 0.2500
Sn1 Sn 0.0000 0.0000 0.5000
```

Principal peaks in the range 10° ≤ 2θ ≤ 90°, most intense first:
2theta, d (Å), Rel. int., hkl
34.97, 2.566, 100.0, 2 2 0
21.21, 4.189, 43.2, 1 1 1
62.73, 1.481, 38.6, 4 2 2
41.26, 2.188, 24.2, 3 1 1
50.30, 1.814, 18.3, 4 0 0
84.43, 1.147, 17.9, 6 2 0
73.88, 1.283, 12.2, 4 4 0
55.17, 1.665, 10.6, 3 3 1

Record 11
# YTmSn4
Simulated powder diffractogram, a wavelength of 1.5418 Å. Input: a PBE-relaxed structure.
Lines closer than 0.1° are merged.

Structural model:
```
data_YTmSn4
_chemical_formula_sum 'Y2 Tm2 Sn8'
_cell_length_a 4.3351
_cell_length_b 4.4175
_cell_length_c 16.3031
_cell_angle_alpha 90.00
_cell_angle_beta 90.00
_cell_angle_gamma 90.00
_space_group_name_H-M_alt 'A m m 2'
_space_group_IT_number 38
loop_
_space_group_symop_operation_xyz
'x,y,z'
'-x,-y,z'
'-x,y,z'
'x,-y,z'
'x,y+1/2,z+1/2'
'-x,-y+1/2,z+1/2'
'-x,y+1/2,z+1/2'
'x,-y+1/2,z+1/2'
loop_
_atom_site_label
_atom_site_type_symbol
_atom_site_fract_x
_atom_site_fract_y
_atom_site_fract_z
Y1 Y 0.0000 0.0000 0.0000
Tm1 Tm 0.5000 0.0000 0.8028
Sn1 Sn 0.0000 0.0000 0.3372
Sn2 Sn 0.0000 0.0000 0.6499
Sn3 Sn 0.5000 0.0000 0.1546
Sn4 Sn 0.5000 0.0000 0.4650
```

Principal peaks in the range 10° ≤ 2θ ≤ 90°, most intense first:
2theta, d (Å), Rel. int., hkl
33.32, 2.689, 100.0, 1 1 3
32.96, 2.717, 20.5, 0 0 6
40.86, 2.209, 15.5, 0 2 0
41.67, 2.168, 14.7, 2 0 0
69.62, 1.351, 12.3, 1 3 3
70.76, 1.332, 11.8, 3 1 3
53.46, 1.714, 10.6, 0 2 6
59.10, 1.563, 10.5, 1 1 9

Record 12
# YTmZn2Sn2
Simulated powder diffractogram, a wavelength of 1.5418 Å. Input: a PBE-relaxed structure.
Lines closer than 0.1° are merged.

Structural model:
```
data_YTmZn2Sn2
_chemical_formula_sum 'Y2 Tm2 Zn4 Sn4'
_cell_length_a 4.4855
_cell_length_b 4.4855
_cell_length_c 15.7278
_cell_angle_alpha 90.00
_cell_angle_beta 90.00
_cell_angle_gamma 120.00
_space_group_name_H-M_alt 'P 63/m m c'
_space_group_IT_number 194
_space_group_name_Hall '-P 6c 2c'
loop_
_atom_site_label
_atom_site_type_symbol
_atom_site_fract_x
_atom_site_fract_y
_atom_site_fract_z
Y1 Y 0.0000 0.0000 0.0000
Tm1 Tm 0.0000 0.0000 0.2500
Zn1 Zn 0.3333 0.6667 0.1618
Sn1 Sn 0.3333 0.6667 0.6145
```

Principal peaks in the range 10° ≤ 2θ ≤ 90°, most intense first:
2theta, d (Å), Rel. int., hkl
32.40, 2.763, 100.0, 1 0 4
40.21, 2.243, 65.9, 1 1 0
52.55, 1.741, 25.5, 2 0 4
68.18, 1.375, 23.3, 2 1 4
28.60, 3.121, 21.0, 1 0 3
46.70, 1.945, 18.5, 1 0 7
62.86, 1.478, 16.0, 1 1 8
11.25, 7.864, 12.7, 0 0 2